1.
The following is a computed XRD peak list of GeSeN. It was derived from a cell relaxed with GGA-PBE, using Cu Kα.
No peak broadening, texture or thermal motion is included.

Most intense lines, 10 to 90 degrees two-theta, by angle:
Position (°2θ)  Rel. int.
25.46  72
31.21  100
31.45  83
31.58  61
32.39  62
34.17  55
40.70  39
44.90  60
45.00  46
46.95  45

abc: 4.052 4.052 10.616
angles: 96.12 96.12 90.00
Atoms (fractional coordinates):
Ge (0.220, 0.220, 0.389)
Ge (0.780, 0.780, 0.611)
Se (0.286, 0.286, 0.629)
Se (0.714, 0.714, 0.371)
N (0.082, 0.082, 0.036)
N (0.918, 0.918, 0.964)


2.
The following is a computed XRD peak list of Sr3LiSm3Te8. It was derived from a cell relaxed with GGA-PBE, using Cu Kα.
No peak broadening, texture or thermal motion is included.

Most intense lines, 10 to 90 degrees two-theta, by angle:
Position (°2θ)  Rel. int.
11.64  8
13.70  10
27.60  100
39.06  38
39.81  38
49.13  20
57.00  12
63.95  16
65.00  17
71.77  12

abc: 9.228 9.228 9.228
angles: 58.79 58.79 58.79
Atoms (fractional coordinates):
Sr (0.000, 0.500, 0.500)
Sr (0.500, 0.000, 0.500)
Sr (0.500, 0.500, 0.000)
Li (0.500, 0.500, 0.500)
Sm (0.000, 0.000, 0.500)
Sm (0.000, 0.500, 0.000)
Sm (0.500, 0.000, 0.000)
Te (0.242, 0.743, 0.743)
Te (0.245, 0.245, 0.245)
Te (0.257, 0.257, 0.758)
Te (0.257, 0.758, 0.257)
Te (0.743, 0.242, 0.743)
Te (0.743, 0.743, 0.242)
Te (0.755, 0.755, 0.755)
Te (0.758, 0.257, 0.257)


3.
The following is a computed XRD peak list of SrRh2F11. It was derived from a cell relaxed with GGA-PBE, using Cu Kα.
No peak broadening, texture or thermal motion is included.

Most intense lines, 10 to 90 degrees two-theta, by angle:
Position (°2θ)  Rel. int.
16.48  33
21.54  66
23.39  100
25.66  45
31.11  25
33.31  22
43.22  14
43.89  29
45.57  31
46.22  24

abc: 8.382 8.382 8.382
angles: 114.42 114.23 100.14
Atoms (fractional coordinates):
Sr (0.250, 0.250, 0.000)
Sr (0.750, 0.750, 0.000)
Rh (0.157, 0.656, 0.813)
Rh (0.343, 0.156, 0.500)
Rh (0.657, 0.844, 0.500)
Rh (0.843, 0.344, 0.187)
F (0.000, 0.500, 0.500)
F (0.072, 0.360, 0.180)
F (0.108, 0.927, 0.287)
F (0.140, 0.427, 0.819)
F (0.180, 0.892, 0.820)
F (0.199, 0.301, 0.500)
F (0.301, 0.801, 0.102)
F (0.320, 0.140, 0.712)
F (0.360, 0.180, 0.287)
F (0.392, 0.680, 0.819)
F (0.428, 0.608, 0.288)
F (0.500, 0.000, 0.500)
F (0.572, 0.392, 0.712)
F (0.608, 0.320, 0.181)
F (0.640, 0.820, 0.713)
F (0.680, 0.860, 0.288)
F (0.699, 0.199, 0.898)
F (0.801, 0.699, 0.500)
F (0.820, 0.108, 0.180)
F (0.860, 0.573, 0.181)
F (0.892, 0.073, 0.713)
F (0.928, 0.640, 0.820)


4.
The following is a computed XRD peak list of Sr2YReO6. It was derived from a cell relaxed with GGA-PBE, using Cu Kα.
No peak broadening, texture or thermal motion is included.

Most intense lines, 10 to 90 degrees two-theta, by angle:
Position (°2θ)  Rel. int.
21.43  24
30.28  33
30.45  68
30.59  100
43.63  36
43.74  19
53.93  25
54.12  14
54.27  23
54.51  22

abc: 5.832 5.904 10.103
angles: 90.00 124.97 90.00
Atoms (fractional coordinates):
Sr (0.242, 0.036, 0.250)
Sr (0.242, 0.464, 0.750)
Sr (0.758, 0.536, 0.250)
Sr (0.758, 0.964, 0.750)
Y (0.500, 0.000, 0.000)
Y (0.500, 0.500, 0.500)
Re (0.000, 0.000, 0.500)
Re (0.000, 0.500, 0.000)
O (0.155, 0.228, 0.959)
O (0.155, 0.272, 0.459)
O (0.233, 0.699, 0.962)
O (0.233, 0.801, 0.462)
O (0.308, 0.020, 0.734)
O (0.308, 0.480, 0.234)
O (0.692, 0.520, 0.766)
O (0.692, 0.980, 0.266)
O (0.767, 0.199, 0.538)
O (0.767, 0.301, 0.038)
O (0.845, 0.728, 0.541)
O (0.845, 0.772, 0.041)


5.
The following is a computed XRD peak list of Nd2Al2Cu3. It was derived from a cell relaxed with GGA-PBE, using Cu Kα.
No peak broadening, texture or thermal motion is included.

Most intense lines, 10 to 90 degrees two-theta, by angle:
Position (°2θ)  Rel. int.
21.15  53
25.97  27
30.08  100
37.06  99
40.15  43
43.06  66
48.45  24
53.42  41
62.53  33
74.97  25

abc: 7.277 7.277 7.277
angles: 109.47 109.47 109.47
Atoms (fractional coordinates):
Nd (0.000, 0.529, 0.500)
Nd (0.500, 0.000, 0.529)
Nd (0.529, 0.500, 0.000)
Nd (0.971, 0.971, 0.971)
Al (0.000, 0.941, 0.500)
Al (0.500, 0.000, 0.941)
Al (0.559, 0.559, 0.559)
Al (0.941, 0.500, 0.000)
Cu (0.040, 0.290, 0.750)
Cu (0.210, 0.250, 0.460)
Cu (0.250, 0.460, 0.210)
Cu (0.290, 0.750, 0.040)
Cu (0.460, 0.210, 0.250)
Cu (0.750, 0.040, 0.290)


6.
The following is a computed XRD peak list of BaAcZn2Au5. It was derived from a cell relaxed with GGA-PBE, using Cu Kα.
No peak broadening, texture or thermal motion is included.

Most intense lines, 10 to 90 degrees two-theta, by angle:
Position (°2θ)  Rel. int.
32.65  100
34.29  8
37.59  44
38.44  14
54.21  15
54.86  20
64.74  29
65.89  15
68.41  10
89.34  6

abc: 4.785 4.785 9.367
angles: 90.00 90.00 90.00
Atoms (fractional coordinates):
Ba (0.000, 0.000, 0.000)
Ac (0.000, 0.000, 0.500)
Zn (0.500, 0.500, 0.363)
Zn (0.500, 0.500, 0.637)
Au (0.000, 0.500, 0.251)
Au (0.000, 0.500, 0.749)
Au (0.500, 0.000, 0.251)
Au (0.500, 0.000, 0.749)
Au (0.500, 0.500, 0.000)